For LiIn3Pt, a cell relaxed with PBE gives the computed powder diffractogram in this record (Cu Kα).

Most intense lines, 10° ≤ 2θ ≤ 80°, in order of rising 2θ:
- 2θ 18.4, rel. 345
- 2θ 18.9, rel. 793
- 2θ 31.5, rel. 281
- 2θ 33.0, rel. 363
- 2θ 35.1, rel. 512
- 2θ 37.2, rel. 551
- 2θ 38.2, rel. 348
- 2θ 42.0, rel. 1000
- 2θ 50.3, rel. 334
- 2θ 54.4, rel. 269

Cell and atoms:
a = 7.910 Å, b = 9.415 Å, c = 6.090 Å
α = 90.00°, β = 90.00°, γ = 90.00°
Sites, in units of the cell vectors:
Li 0.070 0.250 0.244
Li 0.430 0.750 0.744
Li 0.570 0.250 0.256
Li 0.930 0.750 0.756
In 0.051 0.750 0.223
In 0.172 0.539 0.613
In 0.172 0.961 0.613
In 0.328 0.039 0.113
In 0.328 0.461 0.113
In 0.449 0.250 0.723
In 0.551 0.750 0.277
In 0.672 0.539 0.887
In 0.672 0.961 0.887
In 0.828 0.039 0.387
In 0.828 0.461 0.387
In 0.949 0.250 0.777
Pt 0.000 0.000 0.000
Pt 0.000 0.500 0.000
Pt 0.500 0.000 0.500
Pt 0.500 0.500 0.500

---

For LiIn4Pt2, a cell relaxed with PBE gives the computed powder diffractogram in this record (Cu Kα).

Most intense lines, 10° ≤ 2θ ≤ 80°, in order of rising 2θ:
- 2θ 19.5, rel. 459
- 2θ 23.1, rel. 244
- 2θ 26.4, rel. 738
- 2θ 32.5, rel. 333
- 2θ 40.2, rel. 1000
- 2θ 40.4, rel. 896
- 2θ 45.0, rel. 321
- 2θ 52.6, rel. 172
- 2θ 58.3, rel. 302
- 2θ 73.1, rel. 306

Cell and atoms:
a = 9.459 Å, b = 9.459 Å, c = 9.459 Å
α = 27.46°, β = 27.46°, γ = 27.46°
Sites, in units of the cell vectors:
Li 0.000 0.000 0.000
In 0.201 0.201 0.201
In 0.392 0.392 0.392
In 0.608 0.608 0.608
In 0.799 0.799 0.799
Pt 0.097 0.097 0.097
Pt 0.903 0.903 0.903

---

For LiInPt14, a cell relaxed with PBE gives the computed powder diffractogram in this record (Cu Kα).

Most intense lines, 10° ≤ 2θ ≤ 80°, in order of rising 2θ:
- 2θ 20.7, rel. 39
- 2θ 37.2, rel. 127
- 2θ 38.5, rel. 335
- 2θ 38.6, rel. 350
- 2θ 42.1, rel. 1000
- 2θ 47.7, rel. 180
- 2θ 54.7, rel. 84
- 2θ 62.9, rel. 85
- 2θ 67.1, rel. 211
- 2θ 72.3, rel. 204

Cell and atoms:
a = 9.330 Å, b = 5.577 Å, c = 5.577 Å
α = 60.03°, β = 90.00°, γ = 90.00°
Sites, in units of the cell vectors:
Li 0.000 0.000 0.000
In 0.000 0.499 0.499
Pt 0.000 0.497 0.998
Pt 0.000 0.998 0.497
Pt 0.244 0.834 0.834
Pt 0.246 0.330 0.835
Pt 0.246 0.835 0.330
Pt 0.248 0.332 0.332
Pt 0.500 0.168 0.168
Pt 0.500 0.168 0.669
Pt 0.500 0.669 0.168
Pt 0.500 0.669 0.669
Pt 0.752 0.332 0.332
Pt 0.754 0.330 0.835
Pt 0.754 0.835 0.330
Pt 0.756 0.834 0.834

---

For LiVInPt, a cell relaxed with PBE gives the computed powder diffractogram in this record (Cu Kα).

Most intense lines, 10° ≤ 2θ ≤ 80°, in order of rising 2θ:
- 2θ 24.5, rel. 732
- 2θ 28.3, rel. 7
- 2θ 40.5, rel. 1000
- 2θ 47.8, rel. 372
- 2θ 58.6, rel. 166
- 2θ 64.4, rel. 155
- 2θ 66.3, rel. 5
- 2θ 73.6, rel. 334
- 2θ 78.9, rel. 118

Cell and atoms:
a = 4.458 Å, b = 4.458 Å, c = 4.458 Å
α = 60.00°, β = 60.00°, γ = 60.00°
Sites, in units of the cell vectors:
Li 0.000 0.000 0.000
V 0.250 0.250 0.250
In 0.750 0.750 0.750
Pt 0.500 0.500 0.500